Entry 1:
Rb2SrTeH2: computed powder diffractogram (Cu Kα (weighted mean of Kα1 and Kα2)), based on a GGA-PBE-relaxed structure.

Peak list (10 most intense, 2θ from 10° to 90°, low angle first)
Position (°2θ)	I_rel
25.55	85
31.23	100
36.44	34
48.73	56
52.48	12
58.79	15
59.25	16
62.35	13
74.42	16
82.70	11

Cell and atoms:
a b c (Å): 4.9314 4.9314 7.0367
angles (deg): 90.00 90.00 90.00
Fractional coordinates of all 6 atoms:
Rb: 0.0000 0.0000 0.2319
Rb: 0.0000 0.0000 0.7681
Sr: 0.5000 0.5000 0.5000
Te: 0.5000 0.5000 0.0000
H: 0.0000 0.5000 0.5000
H: 0.5000 0.0000 0.5000


Entry 2:
K2Rh: computed powder diffractogram (Cu Kα (weighted mean of Kα1 and Kα2)), based on a GGA-PBE-relaxed structure.

Peak list (10 most intense, 2θ from 10° to 90°, low angle first)
Position (°2θ)	I_rel
12.64	33
13.34	24
26.83	30
30.20	38
31.47	100
32.63	22
37.09	33
37.33	21
37.45	49
57.93	21

Cell and atoms:
a b c (Å): 9.5937 9.5937 7.3859
angles (deg): 108.26 108.26 19.40
Fractional coordinates of all 6 atoms:
K: 0.1019 0.1019 0.0825
K: 0.1436 0.1436 0.6179
K: 0.8564 0.8564 0.3821
K: 0.8981 0.8981 0.9175
Rh: 0.5002 0.5002 0.3328
Rh: 0.4998 0.4998 0.6672


Entry 3:
Ca2Ni10H: computed powder diffractogram (Cu Kα (weighted mean of Kα1 and Kα2)), based on a GGA-PBE-relaxed structure.

Peak list (10 most intense, 2θ from 10° to 90°, low angle first)
Position (°2θ)	I_rel
20.31	28
20.71	47
42.14	28
42.83	100
43.45	51
46.42	49
47.64	28
48.41	64
70.08	21
75.86	20

Cell and atoms:
a b c (Å): 5.0180 5.0180 7.8240
angles (deg): 90.00 90.00 121.28
Fractional coordinates of all 13 atoms:
Ca: 0.0000 0.0000 0.0000
Ca: 0.0000 0.0000 0.5000
Ni: 0.0000 0.5000 0.2570
Ni: 0.0000 0.5000 0.7430
Ni: 0.3130 0.6870 0.0000
Ni: 0.3451 0.6549 0.5000
Ni: 0.5000 0.0000 0.2570
Ni: 0.5000 0.0000 0.7430
Ni: 0.5000 0.5000 0.2413
Ni: 0.5000 0.5000 0.7587
Ni: 0.6549 0.3451 0.5000
Ni: 0.6870 0.3130 0.0000
H: 0.5000 0.5000 0.0000


Entry 4:
TiMnPOsS: computed powder diffractogram (Cu Kα (weighted mean of Kα1 and Kα2)), based on a GGA-PBE-relaxed structure.

Peak list (10 most intense, 2θ from 10° to 90°, low angle first)
Position (°2θ)	I_rel
14.32	100
26.17	49
27.49	30
32.26	22
35.45	37
42.92	19
45.35	48
47.08	11
47.20	22
47.80	29

Cell and atoms:
a b c (Å): 3.9989 3.9989 6.5936
angles (deg): 107.46 107.46 60.02
Fractional coordinates of all 5 atoms:
Ti: 0.0000 0.0000 0.0000
Mn: 0.1443 0.1443 0.4379
P: 0.7656 0.7656 0.3003
Os: 0.4041 0.4041 0.2150
S: 0.2758 0.2758 0.8244


Entry 5:
Cs2MnGa: computed powder diffractogram (Cu Kα (weighted mean of Kα1 and Kα2)), based on a GGA-PBE-relaxed structure.

Peak list (10 most intense, 2θ from 10° to 90°, low angle first)
Position (°2θ)	I_rel
12.20	57
17.29	25
19.17	34
22.79	63
24.55	100
28.74	35
34.99	39
36.00	20
38.90	26
46.54	31

Cell and atoms:
a b c (Å): 10.5449 10.5449 10.5449
angles (deg): 93.08 93.08 153.21
Fractional coordinates of all 8 atoms:
Cs: 0.0000 0.0000 0.0000
Cs: 0.0000 0.0000 0.5000
Cs: 0.0000 0.5000 0.0000
Cs: 0.5000 0.0000 0.5000
Mn: 0.1250 0.8750 0.2500
Mn: 0.8750 0.1250 0.7500
Ga: 0.3750 0.6250 0.7500
Ga: 0.6250 0.3750 0.2500


Entry 6:
H6PbCI3N: computed powder diffractogram (Cu Kα (weighted mean of Kα1 and Kα2)), based on a GGA-PBE-relaxed structure.

Peak list (10 most intense, 2θ from 10° to 90°, low angle first)
Position (°2θ)	I_rel
13.41	68
14.05	100
23.25	24
23.37	20
27.01	57
28.32	65
31.74	64
39.54	26
42.29	24
42.43	26

Cell and atoms:
a b c (Å): 8.9148 8.9148 13.2046
angles (deg): 90.58 90.58 89.97
Fractional coordinates of all 48 atoms:
H: 0.0144 0.2526 0.5031
H: 0.1134 0.8866 0.0000
H: 0.1226 0.7535 0.4982
H: 0.2355 0.8904 0.0967
H: 0.2427 0.7395 0.5955
H: 0.2510 0.6152 0.5002
H: 0.2526 0.0144 0.0031
H: 0.2936 0.6817 0.9843
H: 0.3118 0.8131 0.8828
H: 0.3189 0.9436 0.4869
H: 0.3277 0.8117 0.3833
H: 0.4418 0.8177 0.9876
H: 0.4556 0.7958 0.4889
H: 0.6152 0.2510 0.0002
H: 0.6817 0.2936 0.4843
H: 0.7395 0.2427 0.0955
H: 0.7535 0.1226 0.9982
H: 0.7958 0.4556 0.9889
H: 0.8117 0.3277 0.8833
H: 0.8131 0.3118 0.3828
H: 0.8177 0.4418 0.4876
H: 0.8866 0.1134 0.5000
H: 0.8904 0.2355 0.5967
H: 0.9436 0.3189 0.9869
Pb: 0.3100 0.3260 0.2294
Pb: 0.3260 0.3100 0.7294
Pb: 0.8091 0.8133 0.2292
Pb: 0.8133 0.8091 0.7292
C: 0.3255 0.7962 0.9643
C: 0.3418 0.8270 0.4652
C: 0.7962 0.3255 0.4643
C: 0.8270 0.3418 0.9652
I: 0.0063 0.1262 0.2194
I: 0.0202 0.5101 0.7186
I: 0.1246 0.6355 0.2216
I: 0.1262 0.0063 0.7194
I: 0.2974 0.3258 0.4731
I: 0.3258 0.2974 0.9731
I: 0.5101 0.0202 0.2186
I: 0.5111 0.6202 0.7188
I: 0.6202 0.5111 0.2188
I: 0.6355 0.1246 0.7216
I: 0.8256 0.8358 0.9735
I: 0.8358 0.8256 0.4735
N: 0.2259 0.9034 0.0191
N: 0.2331 0.7280 0.5177
N: 0.7280 0.2331 0.0177
N: 0.9034 0.2259 0.5191


Entry 7:
AlCr3Cl: computed powder diffractogram (Cu Kα (weighted mean of Kα1 and Kα2)), based on a GGA-PBE-relaxed structure.

Peak list (10 most intense, 2θ from 10° to 90°, low angle first)
Position (°2θ)	I_rel
21.51	59
30.61	1
37.72	100
43.83	100
49.33	20
63.72	58
68.09	8
76.48	31
80.55	19
84.58	3

Cell and atoms:
a b c (Å): 4.1310 4.1310 4.1310
angles (deg): 90.00 90.00 90.00
Fractional coordinates of all 5 atoms:
Al: 0.0000 0.0000 0.0000
Cr: 0.0000 0.5000 0.5000
Cr: 0.5000 0.0000 0.5000
Cr: 0.5000 0.5000 0.0000
Cl: 0.5000 0.5000 0.5000


Entry 8:
Ce7Hg5Pb: computed powder diffractogram (Cu Kα (weighted mean of Kα1 and Kα2)), based on a GGA-PBE-relaxed structure.

Peak list (10 most intense, 2θ from 10° to 90°, low angle first)
Position (°2θ)	I_rel
29.54	30
31.58	56
33.22	76
33.59	100
33.91	75
34.40	37
36.08	36
37.54	84
37.99	39
61.30	36

Cell and atoms:
a b c (Å): 8.2890 8.2890 8.2890
angles (deg): 136.57 102.04 93.74
Fractional coordinates of all 13 atoms:
Ce: 0.0000 0.0000 0.0000
Ce: 0.2362 0.2362 0.0000
Ce: 0.2727 0.6059 0.6668
Ce: 0.4252 0.0939 0.3313
Ce: 0.7626 0.0939 0.6687
Ce: 0.7791 0.2791 0.5000
Ce: 0.9390 0.6059 0.3332
Hg: 0.0989 0.1030 0.4926
Hg: 0.0989 0.6063 0.9960
Hg: 0.3485 0.8485 0.5000
Hg: 0.6104 0.1030 0.0040
Hg: 0.6104 0.6063 0.5074
Pb: 0.6044 0.6044 0.0000